Diffraction record for Sr2ZnIn6Ag. The powder X-ray diffraction pattern is simulated, not measured: it uses a crystal structure in Alexandria, relaxed with GGA-PBE and Cu Kα (weighted mean of Kα1 and Kα2).
Intensities are scaled so that the largest is 100.

Cell and atoms:
Lattice parameters (Å, degrees): 13.195 13.195 13.195 32.06 32.06 32.06
Fractional coordinates of all 20 atoms:
Sr1 0.107 0.107 0.107
Sr2 0.284 0.284 0.284
Sr3 0.716 0.716 0.716
Sr4 0.893 0.893 0.893
Zn1 0.428 0.428 0.428
Zn2 0.572 0.572 0.572
In1 0.073 0.661 0.661
In2 0.228 0.228 0.649
In3 0.228 0.649 0.228
In4 0.339 0.339 0.927
In5 0.339 0.927 0.339
In6 0.351 0.772 0.772
In7 0.649 0.228 0.228
In8 0.661 0.073 0.661
In9 0.661 0.661 0.073
In10 0.772 0.351 0.772
In11 0.772 0.772 0.351
In12 0.927 0.339 0.339
Ag1 0.000 0.000 0.000
Ag2 0.500 0.500 0.500

Top 12 peaks for 10° ≤ 2θ ≤ 80°, by angle:
d/Å, Rel. int.
3.225, 19
3.126, 30
2.999, 24
2.909, 88
2.719, 100
2.415, 26
2.366, 49
2.313, 32
2.043, 22
1.878, 22
1.822, 43
1.809, 24



Diffraction record for Sr2ZnIn3Ag4. The powder X-ray diffraction pattern is simulated, not measured: it uses a crystal structure in Alexandria, relaxed with GGA-PBE and Cu Kα (weighted mean of Kα1 and Kα2).
Intensities are scaled so that the largest is 100.

Cell and atoms:
Lattice parameters (Å, degrees): 4.468 4.468 12.542 90.00 90.00 90.00
Fractional coordinates of all 10 atoms:
Sr1 0.000 0.500 0.244
Sr2 0.500 0.000 0.756
Zn1 0.500 0.500 0.000
In1 0.000 0.000 0.000
In2 0.000 0.500 0.640
In3 0.500 0.000 0.360
Ag1 0.000 0.000 0.500
Ag2 0.000 0.500 0.863
Ag3 0.500 0.000 0.137
Ag4 0.500 0.500 0.500

Top 12 peaks for 10° ≤ 2θ ≤ 80°, by angle:
d/Å, Rel. int.
4.209, 20
3.053, 47
2.822, 100
2.234, 63
2.226, 51
2.187, 39
1.803, 20
1.580, 21
1.563, 26
1.378, 21
1.288, 16
1.283, 16



Diffraction record for TbIn3Ag8. The powder X-ray diffraction pattern is simulated, not measured: it uses a crystal structure in Alexandria, relaxed with GGA-PBE and Cu Kα (weighted mean of Kα1 and Kα2).
Intensities are scaled so that the largest is 100.

Cell and atoms:
Lattice parameters (Å, degrees): 5.579 5.579 9.246 90.00 90.00 120.00
Fractional coordinates of all 12 atoms:
Tb1 0.000 0.000 0.000
In1 0.000 0.000 0.367
In2 0.667 0.333 0.499
In3 0.667 0.333 0.875
Ag1 0.164 0.328 0.682
Ag2 0.164 0.836 0.682
Ag3 0.333 0.667 0.433
Ag4 0.333 0.667 0.930
Ag5 0.502 0.005 0.183
Ag6 0.502 0.498 0.183
Ag7 0.672 0.836 0.682
Ag8 0.995 0.498 0.183

Top 12 peaks for 10° ≤ 2θ ≤ 80°, by angle:
d/Å, Rel. int.
2.789, 31
2.598, 75
2.388, 100
2.337, 84
2.312, 18
2.141, 17
1.571, 29
1.521, 23
1.468, 34
1.395, 27
1.299, 14
1.229, 13



Diffraction record for Tb6InAg. The powder X-ray diffraction pattern is simulated, not measured: it uses a crystal structure in Alexandria, relaxed with GGA-PBE and Cu Kα (weighted mean of Kα1 and Kα2).
Intensities are scaled so that the largest is 100.

Cell and atoms:
Lattice parameters (Å, degrees): 9.715 9.715 9.715 149.72 149.72 43.36
Fractional coordinates of all 8 atoms:
Tb1 0.111 0.611 0.500
Tb2 0.250 0.250 0.000
Tb3 0.389 0.889 0.500
Tb4 0.611 0.111 0.500
Tb5 0.750 0.750 0.000
Tb6 0.889 0.389 0.500
In1 0.000 0.000 0.000
Ag1 0.500 0.500 0.000

Top 12 peaks for 10° ≤ 2θ ≤ 80°, by angle:
d/Å, Rel. int.
3.335, 4
2.809, 100
2.537, 40
2.257, 11
1.940, 4
1.794, 14
1.686, 18
1.613, 5
1.512, 30
1.405, 10
1.388, 7
1.269, 5